Structure and calculated PXRD pattern of Ba2PaIn3 (a DFT-relaxed cell (PBE, OQMD); Cu Kα (λ = 1.5418 Å)).
No peak broadening, texture or thermal motion is included.

Peak list (6 most intense, 2θ = 5–70°, by angle)
2θ (°), d [Å], I_rel
21.6, 4.107, 30
27.3, 3.263, 26
29.9, 2.989, 36
31.2, 2.864, 100
31.7, 2.826, 26
50.8, 1.797, 26

Lattice parameters (Å, degrees): 6.522 11.311 5.979 90.00 90.00 90.00
Atoms (fractional coordinates):
Ba 0.000 0.166 0.000
Ba 0.000 0.834 0.000
Ba 0.500 0.334 0.000
Ba 0.500 0.666 0.000
Pa 0.000 0.500 0.000
Pa 0.500 0.000 0.000
In 0.000 0.000 0.500
In 0.250 0.250 0.500
In 0.250 0.750 0.500
In 0.500 0.500 0.500
In 0.750 0.250 0.500
In 0.750 0.750 0.500